1.
Diffraction record for TbPm2Ho4Tm2. The X-ray diffraction stick pattern is simulated, not measured: it uses a DFT-relaxed cell (GGA-PBE, Alexandria) and Cu Kα X-rays.
No peak broadening, texture or thermal motion is included.

Main lines, low angle first (10 to 90 degrees two-theta):
2θ (°)	I_rel
29.9	41
31.6	59
32.0	100
32.5	95
43.3	15
44.9	13
48.3	17
56.2	20
57.2	18
58.9	20

Cell and atoms:
```
data_TbPm2Ho4Tm2
_chemical_formula_sum 'Tb1 Pm2 Ho4 Tm2'
_cell_length_a 5.976
_cell_length_b 6.591
_cell_length_c 8.554
_cell_angle_alpha 79.97
_cell_angle_beta 70.35
_cell_angle_gamma 64.81
_space_group_name_H-M_alt 'P 1'
_space_group_IT_number 1
loop_
_space_group_symop_operation_xyz
'x,y,z'
loop_
_atom_site_label
_atom_site_type_symbol
_atom_site_fract_x
_atom_site_fract_y
_atom_site_fract_z
Tb1 Tb 0.000 0.000 0.000
Pm1 Pm 0.268 0.675 0.657
Pm2 Pm 0.732 0.325 0.343
Ho1 Ho 0.261 0.422 0.115
Ho2 Ho 0.381 0.871 0.240
Ho3 Ho 0.619 0.129 0.760
Ho4 Ho 0.739 0.578 0.885
Tm1 Tm 0.180 0.230 0.555
Tm2 Tm 0.820 0.770 0.445
```

***

2.
Diffraction record for TbPmHo2Tm2. The X-ray diffraction stick pattern is simulated, not measured: it uses a DFT-relaxed cell (GGA-PBE, Alexandria) and Cu Kα X-rays.
No peak broadening, texture or thermal motion is included.

Main lines, low angle first (10 to 90 degrees two-theta):
2θ (°)	I_rel
28.1	43
30.5	100
33.7	36
34.3	47
36.9	59
46.6	14
54.9	30
58.3	13
62.3	26
63.9	16

Cell and atoms:
```
data_TbPmHo2Tm2
_chemical_formula_sum 'Tb2 Pm2 Ho4 Tm4'
_cell_length_a 6.928
_cell_length_b 15.952
_cell_length_c 3.506
_cell_angle_alpha 90.00
_cell_angle_beta 90.00
_cell_angle_gamma 90.00
_space_group_name_H-M_alt 'P 1'
_space_group_IT_number 1
loop_
_space_group_symop_operation_xyz
'x,y,z'
loop_
_atom_site_label
_atom_site_type_symbol
_atom_site_fract_x
_atom_site_fract_y
_atom_site_fract_z
Tb1 Tb 0.000 0.000 0.000
Tb2 Tb 0.500 0.500 0.500
Pm1 Pm 0.000 0.500 0.500
Pm2 Pm 0.500 0.000 0.000
Ho1 Ho 0.249 0.158 0.500
Ho2 Ho 0.251 0.658 0.000
Ho3 Ho 0.749 0.342 0.000
Ho4 Ho 0.751 0.842 0.500
Tm1 Tm 0.250 0.344 0.000
Tm2 Tm 0.250 0.844 0.500
Tm3 Tm 0.750 0.156 0.500
Tm4 Tm 0.750 0.656 0.000
```

***

3.
Diffraction record for Tb2PmHoTm5. The X-ray diffraction stick pattern is simulated, not measured: it uses a DFT-relaxed cell (GGA-PBE, Alexandria) and Cu Kα X-rays.
No peak broadening, texture or thermal motion is included.

Main lines, low angle first (10 to 90 degrees two-theta):
2θ (°)	I_rel
28.7	52
29.1	49
31.7	100
32.2	14
37.4	19
38.2	14
42.9	23
49.6	18
52.8	20
58.3	13

Cell and atoms:
```
data_Tb2PmHoTm5
_chemical_formula_sum 'Tb4 Pm2 Ho2 Tm10'
_cell_length_a 9.633
_cell_length_b 9.633
_cell_length_c 9.633
_cell_angle_alpha 125.69
_cell_angle_beta 125.69
_cell_angle_gamma 80.40
_space_group_name_H-M_alt 'P 1'
_space_group_IT_number 1
loop_
_space_group_symop_operation_xyz
'x,y,z'
loop_
_atom_site_label
_atom_site_type_symbol
_atom_site_fract_x
_atom_site_fract_y
_atom_site_fract_z
Tb1 Tb 0.114 0.614 0.728
Tb2 Tb 0.386 0.114 0.500
Tb3 Tb 0.614 0.886 0.500
Tb4 Tb 0.886 0.386 0.272
Pm1 Pm 0.250 0.250 0.000
Pm2 Pm 0.750 0.750 0.000
Ho1 Ho 0.250 0.750 0.500
Ho2 Ho 0.750 0.250 0.500
Tm1 Tm 0.000 0.000 0.000
Tm2 Tm 0.073 0.160 0.500
Tm3 Tm 0.160 0.660 0.087
Tm4 Tm 0.340 0.427 0.500
Tm5 Tm 0.427 0.927 0.087
Tm6 Tm 0.500 0.500 0.000
Tm7 Tm 0.573 0.073 0.913
Tm8 Tm 0.660 0.573 0.500
Tm9 Tm 0.840 0.340 0.913
Tm10 Tm 0.927 0.840 0.500
```

***

4.
Diffraction record for Tb5Pm2HoTm. The X-ray diffraction stick pattern is simulated, not measured: it uses a DFT-relaxed cell (GGA-PBE, Alexandria) and Cu Kα X-rays.
No peak broadening, texture or thermal motion is included.

Main lines, low angle first (10 to 90 degrees two-theta):
2θ (°)	I_rel
28.7	42
29.5	52
30.7	100
33.1	11
38.3	14
43.8	10
45.6	12
53.0	25
55.2	13
56.0	12

Cell and atoms:
```
data_Tb5Pm2HoTm
_chemical_formula_sum 'Tb10 Pm4 Ho2 Tm2'
_cell_length_a 10.002
_cell_length_b 10.002
_cell_length_c 10.002
_cell_angle_alpha 129.27
_cell_angle_beta 129.27
_cell_angle_gamma 74.57
_space_group_name_H-M_alt 'P 1'
_space_group_IT_number 1
loop_
_space_group_symop_operation_xyz
'x,y,z'
loop_
_atom_site_label
_atom_site_type_symbol
_atom_site_fract_x
_atom_site_fract_y
_atom_site_fract_z
Tb1 Tb 0.000 0.000 0.000
Tb2 Tb 0.073 0.573 0.928
Tb3 Tb 0.145 0.073 0.500
Tb4 Tb 0.355 0.855 0.928
Tb5 Tb 0.427 0.355 0.500
Tb6 Tb 0.500 0.500 0.000
Tb7 Tb 0.573 0.645 0.500
Tb8 Tb 0.645 0.145 0.072
Tb9 Tb 0.855 0.927 0.500
Tb10 Tb 0.927 0.427 0.072
Pm1 Pm 0.119 0.381 0.500
Pm2 Pm 0.381 0.881 0.263
Pm3 Pm 0.619 0.119 0.737
Pm4 Pm 0.881 0.619 0.500
Ho1 Ho 0.250 0.250 0.000
Ho2 Ho 0.750 0.750 0.000
Tm1 Tm 0.250 0.750 0.500
Tm2 Tm 0.750 0.250 0.500
```

***

5.
Diffraction record for Tb2Pm2Ho4Tm. The X-ray diffraction stick pattern is simulated, not measured: it uses a DFT-relaxed cell (GGA-PBE, Alexandria) and Cu Kα X-rays.
No peak broadening, texture or thermal motion is included.

Main lines, low angle first (10 to 90 degrees two-theta):
2θ (°)	I_rel
29.0	37
29.6	17
31.2	51
32.0	100
33.7	90
50.9	39
55.0	21
58.3	20
61.0	46
87.1	19

Cell and atoms:
```
data_Tb2Pm2Ho4Tm
_chemical_formula_sum 'Tb2 Pm2 Ho4 Tm1'
_cell_length_a 9.478
_cell_length_b 9.478
_cell_length_c 9.534
_cell_angle_alpha 115.21
_cell_angle_beta 115.21
_cell_angle_gamma 21.82
_space_group_name_H-M_alt 'P 1'
_space_group_IT_number 1
loop_
_space_group_symop_operation_xyz
'x,y,z'
loop_
_atom_site_label
_atom_site_type_symbol
_atom_site_fract_x
_atom_site_fract_y
_atom_site_fract_z
Tb1 Tb 0.147 0.147 0.163
Tb2 Tb 0.853 0.853 0.837
Pm1 Pm 0.335 0.335 0.501
Pm2 Pm 0.665 0.665 0.499
Ho1 Ho 0.185 0.185 0.835
Ho2 Ho 0.481 0.481 0.166
Ho3 Ho 0.519 0.519 0.834
Ho4 Ho 0.815 0.815 0.165
Tm1 Tm 0.000 0.000 0.500
```

***

6.
Diffraction record for TbPm6HoTm2. The X-ray diffraction stick pattern is simulated, not measured: it uses a DFT-relaxed cell (GGA-PBE, Alexandria) and Cu Kα X-rays.
No peak broadening, texture or thermal motion is included.

Main lines, low angle first (10 to 90 degrees two-theta):
2θ (°)	I_rel
27.9	23
28.4	42
30.2	56
30.6	63
31.1	100
31.3	38
32.1	25
33.8	38
37.4	16
53.4	15

Cell and atoms:
```
data_TbPm6HoTm2
_chemical_formula_sum 'Tb2 Pm12 Ho2 Tm4'
_cell_length_a 8.884
_cell_length_b 8.884
_cell_length_c 9.577
_cell_angle_alpha 93.73
_cell_angle_beta 93.73
_cell_angle_gamma 117.46
_space_group_name_H-M_alt 'P 1'
_space_group_IT_number 1
loop_
_space_group_symop_operation_xyz
'x,y,z'
loop_
_atom_site_label
_atom_site_type_symbol
_atom_site_fract_x
_atom_site_fract_y
_atom_site_fract_z
Tb1 Tb 0.029 0.971 0.750
Tb2 Tb 0.971 0.029 0.250
Pm1 Pm 0.010 0.562 0.686
Pm2 Pm 0.116 0.761 0.054
Pm3 Pm 0.239 0.884 0.446
Pm4 Pm 0.293 0.512 0.882
Pm5 Pm 0.438 0.990 0.814
Pm6 Pm 0.488 0.707 0.618
Pm7 Pm 0.512 0.293 0.382
Pm8 Pm 0.562 0.010 0.186
Pm9 Pm 0.707 0.488 0.118
Pm10 Pm 0.761 0.116 0.554
Pm11 Pm 0.884 0.239 0.946
Pm12 Pm 0.990 0.438 0.314
Ho1 Ho 0.411 0.589 0.250
Ho2 Ho 0.589 0.411 0.750
Tm1 Tm 0.201 0.299 0.547
Tm2 Tm 0.299 0.201 0.047
Tm3 Tm 0.701 0.799 0.953
Tm4 Tm 0.799 0.701 0.453
```